Record 1
Na2MnN2: theoretical powder XRD pattern (Cu Kα (λ = 1.5418 Å)), based on DFT lattice parameters and positions (PBE).
Kinematic intensities with the Lorentz-polarization factor, no thermal factor.

Atomic structure:
Cell lengths 6.064, 4.890, 10.609 Å; angles 90.00, 90.00, 90.00 degrees
Atoms (fractional coordinates):
Na (0.077, 0.250, 0.181)
Na (0.181, 0.250, 0.536)
Na (0.319, 0.750, 0.036)
Na (0.423, 0.750, 0.681)
Na (0.577, 0.250, 0.319)
Na (0.681, 0.250, 0.964)
Na (0.819, 0.750, 0.464)
Na (0.923, 0.750, 0.819)
Mn (0.227, 0.250, 0.830)
Mn (0.273, 0.750, 0.330)
Mn (0.727, 0.250, 0.670)
Mn (0.773, 0.750, 0.170)
N (0.042, 0.750, 0.232)
N (0.236, 0.750, 0.481)
N (0.264, 0.250, 0.981)
N (0.458, 0.250, 0.732)
N (0.542, 0.750, 0.268)
N (0.736, 0.750, 0.019)
N (0.764, 0.250, 0.519)
N (0.958, 0.250, 0.768)

Top 12 peaks for 10° ≤ 2θ ≤ 90°, in order of falling intensity:
hkl	Position (°2θ)	Rel. int.
0 1 1	20.0	100
1 1 3	34.6	95
0 2 0	36.8	71
2 1 1	35.9	50
1 0 2	22.3	31
1 0 3	29.2	28
1 1 1	24.9	28
2 0 0	29.5	25
2 1 0	34.8	20
1 0 4	37.0	19
0 0 2	16.7	18
2 1 7	72.3	16

=====

Record 2
KCa3: theoretical powder XRD pattern (Cu Kα (λ = 1.5418 Å)), based on DFT lattice parameters and positions (PBE).
Kinematic intensities with the Lorentz-polarization factor, no thermal factor.

Atomic structure:
Cell lengths 9.072, 9.072, 9.072 Å; angles 90.00, 90.00, 90.00 degrees
Atoms (fractional coordinates):
K (0.000, 0.000, 0.000)
K (0.000, 0.500, 0.500)
K (0.500, 0.000, 0.500)
K (0.500, 0.500, 0.000)
Ca (0.000, 0.000, 0.500)
Ca (0.000, 0.500, 0.000)
Ca (0.250, 0.250, 0.250)
Ca (0.250, 0.250, 0.750)
Ca (0.250, 0.750, 0.250)
Ca (0.250, 0.750, 0.750)
Ca (0.500, 0.000, 0.000)
Ca (0.500, 0.500, 0.500)
Ca (0.750, 0.250, 0.250)
Ca (0.750, 0.250, 0.750)
Ca (0.750, 0.750, 0.250)
Ca (0.750, 0.750, 0.750)

Top 8 peaks for 10° ≤ 2θ ≤ 90°, in order of falling intensity:
hkl	Position (°2θ)	Rel. int.
2 2 0	27.8	100
4 2 2	49.2	36
4 0 0	39.7	18
6 4 2	79.0	15
6 2 0	65.0	14
4 4 0	57.5	11
4 4 4	72.1	3
8 0 0	85.7	2

=====

Record 3
CsAg2AsS3: theoretical powder XRD pattern (Cu Kα (λ = 1.5418 Å)), based on DFT lattice parameters and positions (PBE).
Kinematic intensities with the Lorentz-polarization factor, no thermal factor.

Atomic structure:
Cell lengths 10.245, 8.522, 9.586 Å; angles 90.00, 108.25, 90.00 degrees
Atoms (fractional coordinates):
Cs (0.084, 0.065, 0.253)
Cs (0.084, 0.435, 0.753)
Cs (0.916, 0.565, 0.247)
Cs (0.916, 0.935, 0.747)
Ag (0.327, 0.526, 0.217)
Ag (0.327, 0.974, 0.717)
Ag (0.444, 0.240, 0.566)
Ag (0.444, 0.260, 0.066)
Ag (0.556, 0.740, 0.934)
Ag (0.556, 0.760, 0.434)
Ag (0.673, 0.026, 0.283)
Ag (0.673, 0.474, 0.783)
As (0.348, 0.638, 0.556)
As (0.348, 0.862, 0.056)
As (0.652, 0.138, 0.944)
As (0.652, 0.362, 0.444)
S (0.163, 0.724, 0.062)
S (0.163, 0.776, 0.562)
S (0.254, 0.089, 0.931)
S (0.254, 0.411, 0.431)
S (0.432, 0.521, 0.787)
S (0.432, 0.979, 0.287)
S (0.568, 0.021, 0.713)
S (0.568, 0.479, 0.213)
S (0.746, 0.589, 0.569)
S (0.746, 0.911, 0.069)
S (0.837, 0.224, 0.438)
S (0.837, 0.276, 0.938)

Top 12 peaks for 10° ≤ 2θ ≤ 90°, in order of falling intensity:
hkl	Position (°2θ)	Rel. int.
0 2 2	28.7	100
2 1 -2	24.5	58
2 1 -3	31.3	57
2 1 1	25.5	49
3 1 -1	28.2	49
2 3 0	36.6	45
1 0 2	24.0	40
0 2 3	36.4	40
2 1 -1	20.6	29
5 1 -3	48.2	26
1 2 -1	23.6	22
4 2 -2	42.0	21

=====

Record 4
Na2Ti2O5: theoretical powder XRD pattern (Cu Kα (λ = 1.5418 Å)), based on DFT lattice parameters and positions (PBE).
Kinematic intensities with the Lorentz-polarization factor, no thermal factor.

Atomic structure:
Cell lengths 10.655, 5.660, 9.054 Å; angles 90.00, 90.00, 90.00 degrees
Atoms (fractional coordinates):
Na (0.011, 0.068, 0.000)
Na (0.234, 0.912, 0.225)
Na (0.266, 0.912, 0.725)
Na (0.489, 0.068, 0.500)
Na (0.511, 0.932, 0.000)
Na (0.734, 0.088, 0.225)
Na (0.766, 0.088, 0.725)
Na (0.989, 0.932, 0.500)
Ti (0.033, 0.470, 0.728)
Ti (0.203, 0.374, 0.424)
Ti (0.297, 0.374, 0.924)
Ti (0.467, 0.470, 0.228)
Ti (0.533, 0.530, 0.728)
Ti (0.703, 0.626, 0.424)
Ti (0.797, 0.626, 0.924)
Ti (0.967, 0.530, 0.228)
O (0.008, 0.830, 0.230)
O (0.104, 0.332, 0.256)
O (0.104, 0.561, 0.549)
O (0.158, 0.544, 0.864)
O (0.241, 0.088, 0.484)
O (0.259, 0.088, 0.984)
O (0.342, 0.544, 0.364)
O (0.396, 0.332, 0.756)
O (0.396, 0.561, 0.049)
O (0.492, 0.830, 0.730)
O (0.508, 0.170, 0.230)
O (0.604, 0.439, 0.549)
O (0.604, 0.668, 0.256)
O (0.658, 0.456, 0.864)
O (0.741, 0.912, 0.484)
O (0.759, 0.912, 0.984)
O (0.842, 0.456, 0.364)
O (0.896, 0.439, 0.049)
O (0.896, 0.668, 0.756)
O (0.992, 0.170, 0.730)

Top 12 peaks for 10° ≤ 2θ ≤ 90°, in order of falling intensity:
hkl	Position (°2θ)	Rel. int.
2 1 2	30.3	100
0 1 0	15.7	58
2 0 2	25.8	57
3 1 1	31.3	33
1 1 2	26.6	33
2 1 1	25.0	28
1 1 0	17.7	28
3 1 2	35.8	27
0 0 4	39.8	25
0 2 0	31.6	23
0 1 2	25.2	20
2 0 1	19.3	20

=====

Record 5
Y2InCu2: theoretical powder XRD pattern (Cu Kα (λ = 1.5418 Å)), based on DFT lattice parameters and positions (PBE).
Kinematic intensities with the Lorentz-polarization factor, no thermal factor.

Atomic structure:
Cell lengths 7.680, 7.680, 3.673 Å; angles 90.00, 90.00, 90.00 degrees
Atoms (fractional coordinates):
Y (0.172, 0.328, 0.000)
Y (0.328, 0.828, 0.000)
Y (0.672, 0.172, 0.000)
Y (0.828, 0.672, 0.000)
In (0.000, 0.000, 0.500)
In (0.500, 0.500, 0.500)
Cu (0.121, 0.621, 0.500)
Cu (0.379, 0.121, 0.500)
Cu (0.621, 0.879, 0.500)
Cu (0.879, 0.379, 0.500)

Top 12 peaks for 10° ≤ 2θ ≤ 90°, in order of falling intensity:
hkl	Position (°2θ)	Rel. int.
2 1 1	35.8	100
3 1 0	37.0	63
2 0 1	33.8	56
3 1 2	63.5	24
2 2 0	33.0	18
5 1 1	67.2	17
0 0 2	49.6	17
2 1 3	83.9	15
3 3 1	56.7	14
1 1 1	29.4	12
4 1 1	55.3	10
5 2 1	70.9	10

=====

Record 6
MnBe2Rh: theoretical powder XRD pattern (Cu Kα (λ = 1.5418 Å)), based on DFT lattice parameters and positions (PBE).
Kinematic intensities with the Lorentz-polarization factor, no thermal factor.

Atomic structure:
Cell lengths 5.545, 5.545, 5.545 Å; angles 90.00, 90.00, 90.00 degrees
Atoms (fractional coordinates):
Mn (0.000, 0.000, 0.000)
Mn (0.000, 0.500, 0.500)
Mn (0.500, 0.000, 0.500)
Mn (0.500, 0.500, 0.000)
Be (0.250, 0.250, 0.250)
Be (0.250, 0.250, 0.750)
Be (0.250, 0.750, 0.250)
Be (0.250, 0.750, 0.750)
Be (0.750, 0.250, 0.250)
Be (0.750, 0.250, 0.750)
Be (0.750, 0.750, 0.250)
Be (0.750, 0.750, 0.750)
Rh (0.000, 0.000, 0.500)
Rh (0.000, 0.500, 0.000)
Rh (0.500, 0.000, 0.000)
Rh (0.500, 0.500, 0.500)

Top 9 peaks for 10° ≤ 2θ ≤ 90°, in order of falling intensity:
hkl	Position (°2θ)	Rel. int.
2 0 0	32.3	100
2 2 0	46.3	95
4 2 2	85.9	30
4 2 0	76.9	29
2 2 2	57.6	24
1 1 1	27.9	21
4 0 0	67.6	15
3 1 1	54.9	10
3 3 1	74.6	4

=====

Record 7
Tl3Bi: theoretical powder XRD pattern (Cu Kα (λ = 1.5418 Å)), based on DFT lattice parameters and positions (PBE).
Kinematic intensities with the Lorentz-polarization factor, no thermal factor.

Atomic structure:
Cell lengths 5.038, 5.038, 5.038 Å; angles 90.00, 90.00, 90.00 degrees
Atoms (fractional coordinates):
Tl (0.000, 0.000, 0.500)
Tl (0.000, 0.500, 0.000)
Tl (0.500, 0.000, 0.000)
Bi (0.500, 0.500, 0.500)

Top 8 peaks for 10° ≤ 2θ ≤ 90°, in order of falling intensity:
hkl	Position (°2θ)	Rel. int.
1 1 1	30.7	100
2 0 0	35.6	51
3 1 1	61.0	44
2 2 0	51.3	37
3 3 1	83.7	19
4 2 0	86.4	18
2 2 2	64.0	13
4 0 0	75.5	6

=====

Record 8
LaMg14Ni: theoretical powder XRD pattern (Cu Kα (λ = 1.5418 Å)), based on DFT lattice parameters and positions (PBE).
Kinematic intensities with the Lorentz-polarization factor, no thermal factor.

Atomic structure:
Cell lengths 6.473, 6.473, 10.233 Å; angles 90.00, 90.00, 120.00 degrees
Atoms (fractional coordinates):
La (0.000, 0.000, 0.000)
Mg (0.017, 0.508, 0.000)
Mg (0.161, 0.323, 0.273)
Mg (0.161, 0.323, 0.727)
Mg (0.161, 0.839, 0.273)
Mg (0.161, 0.839, 0.727)
Mg (0.492, 0.508, 0.000)
Mg (0.492, 0.983, 0.000)
Mg (0.505, 0.009, 0.500)
Mg (0.505, 0.495, 0.500)
Mg (0.667, 0.333, 0.237)
Mg (0.667, 0.333, 0.763)
Mg (0.677, 0.839, 0.273)
Mg (0.677, 0.839, 0.727)
Mg (0.991, 0.495, 0.500)
Ni (0.000, 0.000, 0.500)

Top 12 peaks for 10° ≤ 2θ ≤ 90°, in order of falling intensity:
hkl	Position (°2θ)	Rel. int.
2 0 2	36.6	100
1 0 0	15.8	41
2 0 0	31.9	29
1 0 2	23.5	28
0 0 4	35.1	23
2 0 4	48.2	18
2 2 0	56.9	17
2 2 4	68.6	17
2 0 6	63.9	15
4 0 2	69.6	14
1 1 2	32.7	13
2 1 2	46.4	11

=====

Record 9
Tl3Cl: theoretical powder XRD pattern (Cu Kα (λ = 1.5418 Å)), based on DFT lattice parameters and positions (PBE).
Kinematic intensities with the Lorentz-polarization factor, no thermal factor.

Atomic structure:
Cell lengths 6.862, 6.862, 6.164 Å; angles 90.00, 90.00, 120.00 degrees
Atoms (fractional coordinates):
Tl (0.168, 0.336, 0.250)
Tl (0.168, 0.832, 0.250)
Tl (0.336, 0.168, 0.750)
Tl (0.664, 0.832, 0.250)
Tl (0.832, 0.168, 0.750)
Tl (0.832, 0.664, 0.750)
Cl (0.333, 0.667, 0.750)
Cl (0.667, 0.333, 0.250)

Top 12 peaks for 10° ≤ 2θ ≤ 90°, in order of falling intensity:
hkl	Position (°2θ)	Rel. int.
2 0 1	33.5	100
0 0 2	29.0	32
2 0 3	54.3	26
2 2 2	61.9	23
1 0 1	20.8	22
2 0 0	30.1	22
2 2 0	53.4	18
2 0 2	42.3	18
4 0 1	64.5	15
4 2 1	88.5	14
2 2 4	84.5	10
4 0 3	79.6	9

=====

Record 10
ScU3S6: theoretical powder XRD pattern (Cu Kα (λ = 1.5418 Å)), based on DFT lattice parameters and positions (PBE).
Kinematic intensities with the Lorentz-polarization factor, no thermal factor.

Atomic structure:
Cell lengths 13.330, 16.391, 3.772 Å; angles 90.00, 90.00, 90.00 degrees
Atoms (fractional coordinates):
Sc (0.000, 0.000, 0.000)
Sc (0.000, 0.500, 0.000)
Sc (0.500, 0.000, 0.500)
Sc (0.500, 0.500, 0.500)
U (0.051, 0.217, 0.500)
U (0.179, 0.651, 0.500)
U (0.249, 0.401, 0.500)
U (0.251, 0.901, 0.000)
U (0.321, 0.151, 0.000)
U (0.449, 0.717, 0.000)
U (0.551, 0.283, 0.000)
U (0.679, 0.849, 0.000)
U (0.749, 0.099, 0.000)
U (0.751, 0.599, 0.500)
U (0.821, 0.349, 0.500)
U (0.949, 0.783, 0.500)
S (0.025, 0.394, 0.500)
S (0.093, 0.921, 0.500)
S (0.100, 0.754, 0.000)
S (0.126, 0.109, 0.000)
S (0.185, 0.289, 0.000)
S (0.190, 0.524, 0.000)
S (0.310, 0.024, 0.500)
S (0.315, 0.789, 0.500)
S (0.374, 0.609, 0.500)
S (0.400, 0.254, 0.500)
S (0.407, 0.421, 0.000)
S (0.475, 0.894, 0.000)
S (0.525, 0.106, 0.000)
S (0.593, 0.579, 0.000)
S (0.600, 0.746, 0.500)
S (0.626, 0.391, 0.500)
S (0.685, 0.211, 0.500)
S (0.690, 0.976, 0.500)
S (0.810, 0.476, 0.000)
S (0.815, 0.711, 0.000)
S (0.874, 0.891, 0.000)
S (0.900, 0.246, 0.000)
S (0.907, 0.079, 0.500)
S (0.975, 0.606, 0.500)

Top 12 peaks for 10° ≤ 2θ ≤ 90°, in order of falling intensity:
hkl	Position (°2θ)	Rel. int.
3 3 1	35.3	100
1 4 0	22.7	98
2 4 0	25.5	96
5 1 1	41.9	84
0 5 1	36.3	73
2 1 1	27.7	66
2 3 1	31.8	62
4 1 0	27.3	59
1 2 1	26.9	54
0 2 0	10.8	49
0 0 2	48.3	45
2 4 1	35.0	45

=====

Record 11
Mn3SiW2: theoretical powder XRD pattern (Cu Kα (λ = 1.5418 Å)), based on DFT lattice parameters and positions (PBE).
Kinematic intensities with the Lorentz-polarization factor, no thermal factor.

Atomic structure:
Cell lengths 4.781, 4.781, 7.733 Å; angles 90.00, 90.00, 120.00 degrees
Atoms (fractional coordinates):
Mn (0.172, 0.343, 0.250)
Mn (0.172, 0.828, 0.250)
Mn (0.343, 0.172, 0.750)
Mn (0.657, 0.828, 0.250)
Mn (0.828, 0.172, 0.750)
Mn (0.828, 0.657, 0.750)
Si (0.000, 0.000, 0.000)
Si (0.000, 0.000, 0.500)
W (0.333, 0.667, 0.563)
W (0.333, 0.667, 0.937)
W (0.667, 0.333, 0.063)
W (0.667, 0.333, 0.437)

Top 12 peaks for 10° ≤ 2θ ≤ 90°, in order of falling intensity:
hkl	Position (°2θ)	Rel. int.
1 0 3	41.3	100
1 1 2	44.6	78
1 1 0	37.6	62
2 0 1	45.4	45
2 1 3	70.4	39
1 0 0	21.5	37
1 0 2	31.7	25
2 0 5	77.0	24
1 0 5	64.3	22
2 0 0	43.7	20
3 0 2	72.8	18
2 2 0	80.3	18

=====

Record 12
Ni4IrN4: theoretical powder XRD pattern (Cu Kα (λ = 1.5418 Å)), based on DFT lattice parameters and positions (PBE).
Kinematic intensities with the Lorentz-polarization factor, no thermal factor.

Atomic structure:
Cell lengths 4.805, 5.061, 8.125 Å; angles 77.17, 80.46, 84.93 degrees
Atoms (fractional coordinates):
Ni (0.112, 0.192, 0.401)
Ni (0.219, 0.719, 0.215)
Ni (0.244, 0.375, 0.044)
Ni (0.321, 0.366, 0.600)
Ni (0.679, 0.634, 0.400)
Ni (0.756, 0.625, 0.956)
Ni (0.781, 0.281, 0.785)
Ni (0.888, 0.808, 0.599)
Ir (0.329, 0.806, 0.784)
Ir (0.671, 0.194, 0.216)
N (0.073, 0.083, 0.658)
N (0.087, 0.725, 0.006)
N (0.411, 0.426, 0.354)
N (0.432, 0.033, 0.070)
N (0.568, 0.967, 0.930)
N (0.589, 0.574, 0.646)
N (0.913, 0.275, 0.994)
N (0.927, 0.917, 0.342)

Top 12 peaks for 10° ≤ 2θ ≤ 90°, in order of falling intensity:
hkl	Position (°2θ)	Rel. int.
1 1 -2	38.7	100
2 0 1	38.0	83
1 1 3	37.2	80
-1 1 2	34.7	63
0 1 1	19.1	60
1 -1 2	36.1	52
1 -1 3	44.9	45
0 2 0	36.5	41
2 2 1	50.2	38
0 1 2	25.9	36
2 1 2	42.5	34
2 -2 0	55.3	34